Record 1
The following is a computed X-ray diffraction stick pattern of Li2CuAs2. It was derived from a crystal structure in Alexandria, relaxed with GGA-PBE, using Cu Kα (weighted mean of Kα1 and Kα2).

Most intense lines, 2θ from 10° to 80°, in order of rising 2θ:
| 2theta | I (rel.) |
| --- | --- |
| 10.91 | 54 |
| 17.32 | 33 |
| 24.07 | 100 |
| 27.37 | 39 |
| 28.75 | 45 |
| 38.82 | 52 |
| 43.62 | 58 |
| 44.54 | 30 |
| 44.68 | 19 |
| 49.93 | 19 |

Structure:
abc: 4.0682 5.5124 8.3706
angles: 87.47 76.02 68.42
Sites, in units of the cell vectors:
Li1 0.0890 0.2333 0.0884
Li2 0.3217 0.1761 0.6792
Li3 0.6783 0.8239 0.3208
Li4 0.9110 0.7667 0.9116
Cu1 0.3445 0.4342 0.3745
Cu2 0.6555 0.5658 0.6255
As1 0.0553 0.8081 0.5830
As2 0.3602 0.6620 0.1178
As3 0.6398 0.3380 0.8822
As4 0.9447 0.1919 0.4170


Record 2
The following is a computed X-ray diffraction stick pattern of Pr6SmMg2. It was derived from a crystal structure in Alexandria, relaxed with GGA-PBE, using Cu Kα (weighted mean of Kα1 and Kα2).

Most intense lines, 2θ from 10° to 80°, in order of rising 2θ:
| 2theta | I (rel.) |
| --- | --- |
| 19.27 | 32 |
| 28.78 | 23 |
| 30.14 | 61 |
| 30.38 | 62 |
| 30.52 | 100 |
| 35.15 | 38 |
| 35.28 | 71 |
| 50.46 | 40 |
| 59.91 | 23 |
| 68.25 | 23 |

Structure:
abc: 6.2032 6.2032 8.8961
angles: 90.00 90.00 119.66
Sites, in units of the cell vectors:
Pr1 0.1718 0.3422 0.6620
Pr2 0.1734 0.8266 0.0000
Pr3 0.3422 0.1718 0.3380
Pr4 0.6578 0.8282 0.3380
Pr5 0.8266 0.1734 0.0000
Pr6 0.8282 0.6578 0.6620
Sm1 0.5000 0.5000 0.0000
Mg1 0.0000 0.5000 0.3286
Mg2 0.5000 0.0000 0.6714


Record 3
The following is a computed X-ray diffraction stick pattern of Li2SmTmTe4. It was derived from a crystal structure in Alexandria, relaxed with GGA-PBE, using Cu Kα (weighted mean of Kα1 and Kα2).

Most intense lines, 2θ from 10° to 80°, in order of rising 2θ:
| 2theta | I (rel.) |
| --- | --- |
| 12.53 | 29 |
| 23.94 | 23 |
| 29.04 | 100 |
| 41.42 | 38 |
| 41.65 | 37 |
| 51.38 | 20 |
| 60.19 | 12 |
| 68.03 | 17 |
| 68.37 | 17 |
| 75.70 | 13 |

Structure:
abc: 7.4952 4.3610 7.5505
angles: 90.00 109.56 90.00
Sites, in units of the cell vectors:
Li1 0.0000 0.0000 0.0000
Li2 0.0000 0.5000 0.5000
Sm1 0.5000 0.0000 0.5000
Tm1 0.5000 0.5000 0.0000
Te1 0.2420 0.5000 0.2408
Te2 0.2458 0.0000 0.7557
Te3 0.7542 0.0000 0.2443
Te4 0.7580 0.5000 0.7592


Record 4
The following is a computed X-ray diffraction stick pattern of KSi4Pt6. It was derived from a crystal structure in Alexandria, relaxed with GGA-PBE, using Cu Kα (weighted mean of Kα1 and Kα2).

Most intense lines, 2θ from 10° to 80°, in order of rising 2θ:
| 2theta | I (rel.) |
| --- | --- |
| 18.46 | 49 |
| 22.44 | 43 |
| 27.30 | 42 |
| 29.50 | 100 |
| 31.13 | 55 |
| 36.45 | 30 |
| 40.13 | 44 |
| 41.37 | 35 |
| 42.36 | 31 |
| 47.50 | 33 |

Structure:
abc: 6.2377 6.2377 5.7923
angles: 107.95 107.95 97.66
Sites, in units of the cell vectors:
K1 0.0000 0.0000 0.0000
Si1 0.0982 0.4920 0.8053
Si2 0.4221 0.4221 0.5682
Si3 0.4920 0.0982 0.8053
Si4 0.7635 0.7635 0.3292
Pt1 0.1175 0.6339 0.4506
Pt2 0.1186 0.1186 0.5770
Pt3 0.4353 0.4353 0.1662
Pt4 0.4642 0.7874 0.9486
Pt5 0.6339 0.1175 0.4506
Pt6 0.7874 0.4642 0.9486


Record 5
The following is a computed X-ray diffraction stick pattern of Cs2LiAcF6. It was derived from a crystal structure in Alexandria, relaxed with GGA-PBE, using Cu Kα (weighted mean of Kα1 and Kα2).

Most intense lines, 2θ from 10° to 80°, in order of rising 2θ:
| 2theta | I (rel.) |
| --- | --- |
| 16.62 | 45 |
| 27.31 | 100 |
| 32.14 | 31 |
| 39.00 | 35 |
| 42.66 | 16 |
| 48.26 | 43 |
| 51.40 | 11 |
| 56.34 | 23 |
| 63.71 | 20 |
| 77.29 | 23 |

Structure:
abc: 6.5322 6.5322 6.5322
angles: 60.00 60.00 60.00
Sites, in units of the cell vectors:
Cs1 0.2500 0.2500 0.2500
Cs2 0.7500 0.7500 0.7500
Li1 0.0000 0.0000 0.0000
Ac1 0.5000 0.5000 0.5000
F1 0.2390 0.2390 0.7610
F2 0.2390 0.7610 0.2390
F3 0.2390 0.7610 0.7610
F4 0.7610 0.2390 0.2390
F5 0.7610 0.2390 0.7610
F6 0.7610 0.7610 0.2390


Record 6
The following is a computed X-ray diffraction stick pattern of PrGdAl. It was derived from a crystal structure in Alexandria, relaxed with GGA-PBE, using Cu Kα (weighted mean of Kα1 and Kα2).

Most intense lines, 2θ from 10° to 80°, in order of rising 2θ:
| 2theta | I (rel.) |
| --- | --- |
| 19.92 | 35 |
| 31.61 | 100 |
| 34.86 | 61 |
| 47.76 | 32 |
| 54.13 | 13 |
| 60.48 | 31 |
| 62.20 | 12 |
| 62.50 | 11 |
| 66.01 | 7 |
| 76.87 | 9 |

Structure:
abc: 5.1477 5.1477 3.6635
angles: 90.00 90.00 120.00
Sites, in units of the cell vectors:
Pr1 0.0000 0.0000 0.0000
Gd1 0.6667 0.3333 0.4193
Al1 0.3333 0.6667 0.6752


Record 7
The following is a computed X-ray diffraction stick pattern of Pr2GeRh3. It was derived from a crystal structure in Alexandria, relaxed with GGA-PBE, using Cu Kα (weighted mean of Kα1 and Kα2).

Most intense lines, 2θ from 10° to 80°, in order of rising 2θ:
| 2theta | I (rel.) |
| --- | --- |
| 31.31 | 36 |
| 34.64 | 42 |
| 37.08 | 69 |
| 38.56 | 100 |
| 39.31 | 44 |
| 41.38 | 34 |
| 60.61 | 26 |
| 62.67 | 20 |
| 65.32 | 31 |
| 73.09 | 22 |

Structure:
abc: 5.2247 5.2247 5.2247
angles: 66.31 66.31 66.31
Sites, in units of the cell vectors:
Pr1 0.1283 0.1283 0.1283
Pr2 0.8717 0.8717 0.8717
Ge1 0.5000 0.5000 0.5000
Rh1 0.0000 0.5000 0.5000
Rh2 0.5000 0.0000 0.5000
Rh3 0.5000 0.5000 0.0000


Record 8
The following is a computed X-ray diffraction stick pattern of Ce2Th2In. It was derived from a crystal structure in Alexandria, relaxed with GGA-PBE, using Cu Kα (weighted mean of Kα1 and Kα2).

Most intense lines, 2θ from 10° to 80°, in order of rising 2θ:
| 2theta | I (rel.) |
| --- | --- |
| 30.51 | 54 |
| 31.49 | 71 |
| 33.20 | 57 |
| 33.27 | 55 |
| 34.41 | 100 |
| 34.51 | 33 |
| 44.39 | 29 |
| 55.05 | 15 |
| 57.95 | 21 |
| 65.74 | 19 |

Structure:
abc: 6.1246 6.6642 8.7587
angles: 111.08 90.22 117.27
Sites, in units of the cell vectors:
Ce1 0.0410 0.3066 0.0198
Ce2 0.1399 0.0585 0.3140
Ce3 0.8601 0.9415 0.6860
Ce4 0.9590 0.6934 0.9802
Th1 0.2642 0.6843 0.4436
Th2 0.4134 0.0871 0.8487
Th3 0.5866 0.9129 0.1513
Th4 0.7358 0.3157 0.5564
In1 0.3384 0.5015 0.7420
In2 0.6616 0.4985 0.2580


Record 9
The following is a computed X-ray diffraction stick pattern of BaSrSn2O6. It was derived from a crystal structure in Alexandria, relaxed with GGA-PBE, using Cu Kα (weighted mean of Kα1 and Kα2).

Most intense lines, 2θ from 10° to 80°, in order of rising 2θ:
| 2theta | I (rel.) |
| --- | --- |
| 10.66 | 1 |
| 21.42 | 2 |
| 23.98 | 2 |
| 30.47 | 100 |
| 37.54 | 1 |
| 43.63 | 32 |
| 49.10 | 1 |
| 54.14 | 41 |
| 63.41 | 20 |
| 71.96 | 18 |

Structure:
abc: 4.1497 4.1497 8.2967
angles: 90.00 90.00 90.00
Sites, in units of the cell vectors:
Ba1 0.0000 0.0000 0.0000
Sr1 0.0000 0.0000 0.5000
Sn1 0.5000 0.5000 0.2532
Sn2 0.5000 0.5000 0.7468
O1 0.0000 0.5000 0.2574
O2 0.0000 0.5000 0.7426
O3 0.5000 0.0000 0.2574
O4 0.5000 0.0000 0.7426
O5 0.5000 0.5000 0.0000
O6 0.5000 0.5000 0.5000


Record 10
The following is a computed X-ray diffraction stick pattern of Na2In5Hg12. It was derived from a crystal structure in Alexandria, relaxed with GGA-PBE, using Cu Kα (weighted mean of Kα1 and Kα2).

Most intense lines, 2θ from 10° to 80°, in order of rising 2θ:
| 2theta | I (rel.) |
| --- | --- |
| 11.59 | 21 |
| 27.63 | 24 |
| 29.27 | 22 |
| 31.00 | 100 |
| 35.50 | 24 |
| 35.84 | 34 |
| 35.97 | 34 |
| 40.55 | 35 |
| 41.07 | 20 |
| 63.85 | 30 |

Structure:
abc: 9.0528 9.0528 7.6950
angles: 102.96 102.96 58.10
Sites, in units of the cell vectors:
Na1 0.2200 0.7800 0.0000
Na2 0.7800 0.2200 0.0000
In1 0.0000 0.0000 0.5000
In2 0.2100 0.2100 0.4743
In3 0.3481 0.3481 0.8507
In4 0.6519 0.6519 0.1493
In5 0.7900 0.7900 0.5257
Hg1 0.0584 0.4652 0.1981
Hg2 0.1315 0.1315 0.8789
Hg3 0.1971 0.6147 0.5738
Hg4 0.3853 0.8029 0.4262
Hg5 0.4348 0.4348 0.2441
Hg6 0.4652 0.0584 0.1981
Hg7 0.5348 0.9416 0.8019
Hg8 0.5652 0.5652 0.7559
Hg9 0.6147 0.1971 0.5738
Hg10 0.8029 0.3853 0.4262
Hg11 0.8685 0.8685 0.1211
Hg12 0.9416 0.5348 0.8019


Record 11
The following is a computed X-ray diffraction stick pattern of Ho2AgSeS3. It was derived from a crystal structure in Alexandria, relaxed with GGA-PBE, using Cu Kα (weighted mean of Kα1 and Kα2).

Most intense lines, 2θ from 10° to 80°, in order of rising 2θ:
| 2theta | I (rel.) |
| --- | --- |
| 13.58 | 32 |
| 22.23 | 27 |
| 26.14 | 100 |
| 26.22 | 38 |
| 31.68 | 59 |
| 41.51 | 46 |
| 45.33 | 51 |
| 45.50 | 47 |
| 53.10 | 16 |
| 63.14 | 18 |

Structure:
abc: 7.9739 7.9739 7.9739
angles: 60.24 60.24 60.24
Sites, in units of the cell vectors:
Ho1 0.0000 0.0000 0.0000
Ho2 0.0000 0.0000 0.5000
Ho3 0.0000 0.5000 0.0000
Ho4 0.5000 0.0000 0.0000
Ag1 0.3885 0.3885 0.3885
Ag2 0.6115 0.6115 0.6115
Se1 0.2516 0.2516 0.2516
Se2 0.7484 0.7484 0.7484
S1 0.2222 0.7582 0.7582
S2 0.2418 0.2418 0.7778
S3 0.2418 0.7778 0.2418
S4 0.7582 0.2222 0.7582
S5 0.7582 0.7582 0.2222
S6 0.7778 0.2418 0.2418


Record 12
The following is a computed X-ray diffraction stick pattern of AcTm2In4. It was derived from a crystal structure in Alexandria, relaxed with GGA-PBE, using Cu Kα (weighted mean of Kα1 and Kα2).

Most intense lines, 2θ from 10° to 80°, in order of rising 2θ:
| 2theta | I (rel.) |
| --- | --- |
| 30.83 | 100 |
| 31.64 | 40 |
| 34.82 | 56 |
| 36.34 | 33 |
| 39.33 | 13 |
| 47.79 | 15 |
| 48.94 | 24 |
| 60.48 | 22 |
| 61.48 | 16 |
| 61.99 | 14 |

Structure:
abc: 3.8066 4.9439 21.1287
angles: 90.00 90.00 90.00
Sites, in units of the cell vectors:
Ac1 0.0000 0.0000 0.0000
Ac2 0.5000 0.5000 0.5000
Tm1 0.0000 0.5000 0.1966
Tm2 0.0000 0.5000 0.8034
Tm3 0.5000 0.0000 0.3034
Tm4 0.5000 0.0000 0.6966
In1 0.0000 0.0000 0.4270
In2 0.0000 0.0000 0.5730
In3 0.0000 0.5000 0.3439
In4 0.0000 0.5000 0.6561
In5 0.5000 0.0000 0.1561
In6 0.5000 0.0000 0.8439
In7 0.5000 0.5000 0.0730
In8 0.5000 0.5000 0.9270